Record 1
This entry pairs a crystal structure of LaFe4Co9 with its simulated PXRD pattern. Radiation: Cu Kα (weighted mean of Kα1 and Kα2). Structure: a cell relaxed with PBE.
Intensities are scaled so that the largest is 100.

Atomic structure:
a = 8.049 Å, b = 8.049 Å, c = 8.049 Å
α = 120.48°, β = 120.48°, γ = 89.17°
Fractional coordinates of all 28 atoms:
La  0.250  0.250  0.000
La  0.750  0.750  0.000
Fe  0.059  0.559  0.856
Fe  0.203  0.059  0.500
Fe  0.297  0.797  0.856
Fe  0.441  0.297  0.500
Fe  0.559  0.703  0.500
Fe  0.703  0.203  0.144
Fe  0.797  0.941  0.500
Fe  0.941  0.441  0.144
Co  0.000  0.500  0.500
Co  0.060  0.794  0.500
Co  0.062  0.202  0.264
Co  0.202  0.938  0.140
Co  0.206  0.706  0.266
Co  0.294  0.560  0.500
Co  0.298  0.438  0.736
Co  0.438  0.702  0.140
Co  0.440  0.940  0.734
Co  0.500  0.000  0.500
Co  0.560  0.060  0.266
Co  0.562  0.298  0.860
Co  0.702  0.562  0.264
Co  0.706  0.440  0.500
Co  0.794  0.294  0.734
Co  0.798  0.062  0.860
Co  0.938  0.798  0.736
Co  0.940  0.206  0.500

Principal peaks in the range 5° ≤ 2θ ≤ 70°, by angle:
Position (°2θ), Rel. int.
35.10, 29
38.66, 48
38.95, 100
47.09, 52
47.42, 57
47.58, 60

Record 2
This entry pairs a crystal structure of La2Fe5Co12 with its simulated PXRD pattern. Radiation: Cu Kα (weighted mean of Kα1 and Kα2). Structure: a cell relaxed with PBE.
Intensities are scaled so that the largest is 100.

Atomic structure:
a = 6.390 Å, b = 6.390 Å, c = 6.390 Å
α = 82.93°, β = 82.93°, γ = 82.93°
Fractional coordinates of all 19 atoms:
La  0.156  0.156  0.156
La  0.844  0.844  0.844
Fe  0.000  0.500  0.500
Fe  0.405  0.405  0.405
Fe  0.500  0.000  0.500
Fe  0.500  0.500  0.000
Fe  0.595  0.595  0.595
Co  0.158  0.158  0.654
Co  0.158  0.654  0.158
Co  0.216  0.500  0.784
Co  0.216  0.784  0.500
Co  0.346  0.842  0.842
Co  0.500  0.216  0.784
Co  0.500  0.784  0.216
Co  0.654  0.158  0.158
Co  0.784  0.216  0.500
Co  0.784  0.500  0.216
Co  0.842  0.346  0.842
Co  0.842  0.842  0.346

Principal peaks in the range 5° ≤ 2θ ≤ 70°, by angle:
Position (°2θ), Rel. int.
30.28, 36
36.79, 38
38.10, 32
42.74, 67
43.05, 100
43.95, 54